(1)
Starting from the PBE geometry in the Materials Project, the X-ray diffraction stick pattern of TiNiP was simulated for Cu Kα, 1.54184 Å.
Lines closer than 0.1° are merged.

Cell and atoms:
a = 6.0493 Å, b = 3.5566 Å, c = 6.9442 Å
α = 90.00°, β = 90.00°, γ = 90.00°
Space group Pnma (No. 62)
Symmetry-distinct sites (fractional):
Ti (0.0272, 0.2500, 0.1742) (multiplicity 4)
Ni (0.1472, 0.2500, 0.5631) (multiplicity 4)
P (0.2307, 0.7500, 0.3756) (multiplicity 4)

Peak list (12 most intense, 2θ from 10° to 90°, low angle first)
| hkl | 2θ (°) | intensity |
| --- | --- | --- |
| 1 0 1 | 19.46 | 18.6 |
| 1 1 1 | 31.91 | 19.0 |
| 2 1 0 | 39.09 | 53.2 |
| 1 1 2 | 39.20 | 100.0 |
| 2 1 1 | 41.28 | 79.4 |
| 1 0 3 | 41.78 | 28.7 |
| 0 1 3 | 46.87 | 88.6 |
| 1 1 3 | 49.33 | 23.8 |
| 0 2 0 | 51.38 | 45.3 |
| 3 0 2 | 52.48 | 16.9 |
| 3 2 1 | 72.11 | 20.5 |
| 3 1 4 | 77.33 | 23.8 |



(2)
Starting from the PBE geometry in the Materials Project, the X-ray diffraction stick pattern of TmNi2P2 was simulated for Cu Kα, 1.54184 Å.
Lines closer than 0.1° are merged.

Cell and atoms:
a = 3.8441 Å, b = 3.8441 Å, c = 9.3188 Å
α = 90.00°, β = 90.00°, γ = 90.00°
Space group I4/mmm (No. 139)
Symmetry-distinct sites (fractional):
Tm (0.0000, 0.0000, 0.0000) (multiplicity 2)
Ni (0.0000, 0.5000, 0.2500) (multiplicity 4)
P (0.0000, 0.0000, 0.3783) (multiplicity 4)

Peak list (12 most intense, 2θ from 10° to 90°, low angle first)
| hkl | 2θ (°) | intensity |
| --- | --- | --- |
| 1 0 1 | 25.06 | 49.0 |
| 1 0 3 | 37.21 | 51.9 |
| 1 1 2 | 38.34 | 100.0 |
| 0 0 4 | 38.65 | 15.3 |
| 2 0 0 | 47.29 | 38.4 |
| 2 1 1 | 54.26 | 13.0 |
| 1 0 5 | 54.73 | 18.0 |
| 2 1 3 | 61.67 | 23.6 |
| 2 0 4 | 62.66 | 14.5 |
| 1 1 6 | 69.73 | 15.4 |
| 2 1 5 | 75.19 | 14.1 |
| 3 1 2 | 81.90 | 21.0 |



(3)
Starting from the PBE geometry in the Materials Project, the X-ray diffraction stick pattern of UNi4P2 was simulated for Cu Kα, 1.54184 Å.
Lines closer than 0.1° are merged.

Cell and atoms:
a = 7.0205 Å, b = 7.0205 Å, c = 3.6583 Å
α = 90.00°, β = 90.00°, γ = 90.00°
Space group P4_2/mnm (No. 136)
Symmetry-distinct sites (fractional):
U (0.0000, 0.0000, 0.0000) (multiplicity 2)
Ni (0.0902, 0.3393, 0.5000) (multiplicity 8)
P (0.2181, 0.7819, 0.5000) (multiplicity 4)

Peak list (12 most intense, 2θ from 10° to 90°, low angle first)
| hkl | 2θ (°) | intensity |
| --- | --- | --- |
| 1 1 0 | 17.87 | 18.2 |
| 2 0 0 | 25.37 | 19.0 |
| 1 0 1 | 27.49 | 34.0 |
| 2 2 0 | 36.19 | 15.0 |
| 2 1 1 | 37.76 | 100.0 |
| 3 1 0 | 40.64 | 47.0 |
| 2 2 1 | 44.09 | 15.6 |
| 3 1 1 | 47.93 | 13.4 |
| 0 0 2 | 49.85 | 16.7 |
| 4 1 1 | 59.92 | 16.0 |
| 3 1 2 | 66.20 | 22.2 |
| 5 0 1 | 72.05 | 25.0 |



(4)
Starting from the PBE geometry in the Materials Project, the X-ray diffraction stick pattern of UNi3P2 was simulated for Cu Kα, 1.54184 Å.
Lines closer than 0.1° are merged.

Cell and atoms:
a = 10.4662 Å, b = 12.3777 Å, c = 3.7612 Å
α = 90.00°, β = 90.00°, γ = 90.00°
Space group Pmn2_1 (No. 31)
Symmetry-distinct sites (fractional):
U (0.0000, 0.0226, 0.0000) (multiplicity 2)
U (0.1852, 0.2953, 0.0000) (multiplicity 4)
Ni (0.0000, 0.2014, 0.5272) (multiplicity 2)
Ni (0.0000, 0.4840, 0.9974) (multiplicity 2)
Ni (0.0000, 0.6581, 0.4980) (multiplicity 2)
Ni (0.1202, 0.7929, 0.9980) (multiplicity 4)
Ni (0.1688, 0.4954, 0.4981) (multiplicity 4)
Ni (0.2026, 0.9321, 0.4974) (multiplicity 4)
P (0.0000, 0.3792, 0.4969) (multiplicity 2)
P (0.0000, 0.8460, 0.4979) (multiplicity 2)
P (0.1521, 0.6087, 0.9976) (multiplicity 4)
P (0.1880, 0.1156, 0.4972) (multiplicity 4)

Peak list (12 most intense, 2θ from 10° to 90°, low angle first)
| hkl | 2θ (°) | intensity |
| --- | --- | --- |
| 2 2 0 | 22.25 | 16.8 |
| 0 1 1 | 24.74 | 14.6 |
| 2 1 1 | 30.13 | 18.5 |
| 3 1 1 | 35.85 | 12.9 |
| 0 4 1 | 37.64 | 39.6 |
| 3 2 1 | 38.07 | 100.0 |
| 1 4 1 | 38.65 | 13.9 |
| 2 5 0 | 40.30 | 18.4 |
| 0 0 2 | 48.40 | 26.3 |
| 3 6 0 | 51.46 | 17.9 |
| 6 0 0 | 52.46 | 12.4 |
| 5 3 1 | 54.91 | 12.5 |